# Li3PmBi3
Simulated X-ray powder pattern, a wavelength of 1.5418 Å. Input: the PBE geometry in Alexandria.
Kinematic intensities with the Lorentz-polarization factor, no thermal factor.

The 8 most intense peaks (10 to 80 degrees two-theta), sorted by position:
(hkl), 2θ/deg, I_rel
1 0 1, 12.37, 48
0 2 1, 23.04, 19
1 1 3, 25.29, 100
1 2 2, 31.72, 52
3 0 0, 33.86, 25
2 0 5, 35.38, 20
3 -1 4, 37.05, 30
1 1 9, 53.92, 22

Cell and atoms:
Cell: 9.1712 9.1712 16.4890 Å, 90.00 90.00 120.00°
Space group R-3 (No. 148, hexagonal axes)
Unique sites:
Li 0.0053 0.7502 0.4217 x18
Pm 0.0000 0.0000 0.2064 x6
Bi 0.0406 0.6242 0.5839 x18



# Na4CrGa2
Simulated X-ray powder pattern, a wavelength of 1.5418 Å. Input: the PBE geometry in Alexandria.
Kinematic intensities with the Lorentz-polarization factor, no thermal factor.

The 8 most intense peaks (10 to 80 degrees two-theta), sorted by position:
(hkl), 2θ/deg, I_rel
0 0 2, 12.09, 81
1 0 1, 16.52, 32
1 1 0, 21.79, 100
2 0 0, 31.01, 91
2 0 2, 33.40, 28
1 0 5, 34.35, 83
2 2 0, 44.43, 32
2 1 5, 46.95, 66

Cell and atoms:
Cell: 5.768 5.768 14.637 Å, 90.00 90.00 90.00°
Space group I4/mmm (No. 139)
Unique sites:
Na 0.000 0.000 0.212 x4
Na 0.000 0.500 0.000 x4
Cr 0.000 0.000 0.000 x2
Ga 0.000 0.000 0.414 x4



# NdTh3Rh4
Simulated X-ray powder pattern, a wavelength of 1.5418 Å. Input: the PBE geometry in Alexandria.
Kinematic intensities with the Lorentz-polarization factor, no thermal factor.

The 8 most intense peaks (10 to 80 degrees two-theta), sorted by position:
(hkl), 2θ/deg, I_rel
2 0 0, 26.61, 19
1 2 1, 30.82, 100
2 0 2, 44.10, 37
1 2 -3, 44.18, 37
0 0 4, 54.83, 20
2 4 2, 64.15, 8
3 2 3, 72.80, 11
0 4 4, 72.93, 17

Cell and atoms:
Cell: 7.111 8.203 7.099 Å, 90.00 109.29 90.00°
Space group P2/c (No. 13)
Unique sites:
Nd 0.000 0.127 0.250 x2
Th 0.000 0.372 0.750 x2
Th 0.500 0.127 0.750 x2
Th 0.500 0.372 0.250 x2
Rh 0.253 0.383 0.506 x4
Rh 0.262 0.129 0.998 x4



# Li3Sb17S27
Simulated X-ray powder pattern, a wavelength of 1.5418 Å. Input: the PBE geometry in Alexandria.
Kinematic intensities with the Lorentz-polarization factor, no thermal factor.

The 8 most intense peaks (10 to 80 degrees two-theta), sorted by position:
(hkl), 2θ/deg, I_rel
-1 1 2, 18.69, 33
-1 1 3, 23.21, 26
1 -1 4, 26.16, 100
3 0 -1, 30.54, 32
0 3 0, 31.48, 89
1 -4 4, 43.95, 24
3 3 -2, 46.11, 31
-4 1 4, 46.48, 27

Cell and atoms:
Cell: 8.849 8.851 15.666 Å, 103.51 96.06 96.30°
Space group P1 (No. 1)
Unique sites:
Li 0.000 0.000 0.000 x1
Li 0.318 0.318 0.000 x1
Li 0.652 0.661 0.004 x1
Sb 0.016 0.553 0.884 x1
Sb 0.027 0.146 0.305 x1
Sb 0.109 0.830 0.425 x1
Sb 0.191 0.504 0.567 x1
Sb 0.276 0.159 0.687 x1
Sb 0.308 0.773 0.115 x1
Sb 0.354 0.880 0.887 x1
Sb 0.371 0.492 0.305 x1
Sb 0.447 0.165 0.443 x1
Sb 0.532 0.828 0.563 x1
Sb 0.616 0.499 0.687 x1
Sb 0.622 0.087 0.116 x1
Sb 0.687 0.215 0.887 x1
Sb 0.768 0.490 0.425 x1
Sb 0.865 0.158 0.564 x1
Sb 0.944 0.446 0.106 x1
Sb 0.950 0.819 0.682 x1
S 0.001 0.287 0.964 x1
S 0.007 0.856 0.274 x1
S 0.042 0.836 0.852 x1
S 0.049 0.519 0.380 x1
S 0.147 0.169 0.505 x1
S 0.243 0.816 0.626 x1
S 0.275 0.484 0.144 x1
S 0.306 0.032 0.033 x1
S 0.313 0.188 0.279 x1
S 0.327 0.473 0.720 x1
S 0.331 0.625 0.961 x1
S 0.377 0.175 0.852 x1
S 0.392 0.856 0.392 x1
S 0.482 0.505 0.501 x1
S 0.578 0.149 0.617 x1
S 0.598 0.821 0.153 x1
S 0.641 0.490 0.274 x1
S 0.645 0.373 0.033 x1
S 0.659 0.803 0.722 x1
S 0.667 0.961 0.962 x1
S 0.705 0.510 0.849 x1
S 0.722 0.185 0.393 x1
S 0.811 0.848 0.510 x1
S 0.921 0.495 0.627 x1
S 0.930 0.137 0.146 x1
S 0.964 0.691 0.032 x1
S 0.997 0.143 0.724 x1